Structure and simulated X-ray diffraction stick pattern of CrH10S2N4O8 (a DFT-relaxed cell (GGA+U, Alexandria); Cu Kα (λ = 1.5418 Å)).
Peak positions follow from Bragg's law for the DFT cell and can differ from measured ones.

The 10 most intense peaks (2θ = 5–70°), in order of rising 2θ:
(0 0 1), 2θ = 12.27°, intensity 56; (0 1 0), 2θ = 15.46°, intensity 23; (0 1 -1), 2θ = 19.33°, intensity 73; (1 0 1), 2θ = 22.81°, intensity 100; (1 1 0), 2θ = 24.13°, intensity 94; (1 0 -2), 2θ = 26.40°, intensity 22; (0 1 -2), 2θ = 28.63°, intensity 36; (1 1 1), 2θ = 29.19°, intensity 27; (-1 1 2), 2θ = 30.19°, intensity 38; (2 0 -1), 2θ = 32.73°, intensity 28

Atomic structure:
```
25
Lattice="5.5741 0.0000 0.0000 -0.7222 5.7393 0.0000 -1.6743 -0.3358 7.2113" Properties=species:S:1:pos:R:3 pbc="T T T"
Cr 0.0000 0.0000 0.0000
H -0.9845 1.5009 5.2521
H -0.7063 5.1932 2.6847
H 0.7537 3.1644 1.3093
H 0.5168 3.3168 3.0039
H 1.3883 4.5129 2.1406
H 1.7894 0.8906 5.0707
H 2.6609 2.0867 4.2074
H 2.4239 2.2391 5.9020
H 3.8839 0.2103 4.5266
H 4.1621 3.9026 1.9592
S 0.1046 4.0632 5.5661
S 3.0730 1.3403 1.6452
N -0.6303 4.5820 1.8597
N 0.5870 3.8268 2.0852
N 2.5907 1.5767 5.1260
N 3.8080 0.8216 5.3516
O -1.1482 3.9422 6.4044
O 0.1329 2.8783 4.6526
O 0.0299 5.3138 4.7541
O 1.8741 1.3486 0.7766
O 1.3036 4.0549 6.4347
O 3.1478 0.0897 2.4572
O 3.0447 2.5252 2.5587
O 4.3258 1.4614 0.8069
```